Structure and theoretical X-ray diffraction stick pattern of Li9Mn2Co5O16 (a DFT-relaxed cell (GGA+U, the Materials Project); λ = 1.5418 Å (Cu Kα)).

Cell and atoms:
Cell: 4.977 7.775 7.800 Å, 98.26 101.30 102.33°
Space group P1 (No. 1)
Asymmetric unit:
Li 0.000 0.000 0.000
Li 0.000 0.128 0.372
Li 0.001 0.358 0.119
Li 0.486 0.248 0.244
Li 0.495 0.005 0.508
Li 0.500 0.490 0.996
Li 0.511 0.753 0.755
Li 0.996 0.880 0.639
Li 0.999 0.625 0.876
Mn 0.496 0.876 0.123
Mn 0.993 0.749 0.250
Co 0.490 0.624 0.374
Co 0.499 0.120 0.882
Co 0.500 0.377 0.624
Co 0.997 0.497 0.499
Co 0.998 0.246 0.757
O 0.231 0.738 0.480
O 0.245 0.973 0.248
O 0.249 0.142 0.631
O 0.250 0.393 0.375
O 0.254 0.641 0.144
O 0.255 0.488 0.734
O 0.262 0.241 0.989
O 0.273 0.869 0.895
O 0.724 0.104 0.129
O 0.725 0.615 0.603
O 0.735 0.856 0.359
O 0.738 0.010 0.756
O 0.745 0.265 0.510
O 0.747 0.521 0.262
O 0.749 0.751 0.027
O 0.764 0.368 0.871

Principal peaks in the range 5° ≤ 2θ ≤ 70°, most intense first:
two_theta	intensity	hkl
18.3	100	0 1 1
43.1	28	1 -1 3
43.7	27	1 3 -1
44.4	25	-2 2 2
35.7	15	1 -2 2
63.1	14	0 4 -4
36.1	14	1 2 -2
47.8	13	2 1 1
36.7	12	-2 1 1
11.8	10	0 1 0
63.0	7	2 2 2
63.3	7	-1 5 1



Structure and theoretical X-ray diffraction stick pattern of EuMoO4F (a DFT-relaxed cell (GGA+U, the Materials Project); λ = 1.5418 Å (Cu Kα)).

Cell and atoms:
Cell: 5.403 12.724 6.880 Å, 90.00 113.45 90.00°
Space group P2_1/c (No. 14)
Asymmetric unit:
Eu 0.136 0.056 0.296
Mo 0.416 0.141 0.864
O 0.202 0.064 0.965
O 0.273 0.653 0.415
O 0.305 0.228 0.290
O 0.500 0.070 0.665
F 0.022 0.599 0.946

Principal peaks in the range 5° ≤ 2θ ≤ 70°, most intense first:
two_theta	intensity	hkl
27.7	100	1 3 -1
22.7	91	1 2 -1
13.9	63	0 2 0
27.8	46	1 1 1
26.8	43	1 0 -2
19.2	42	1 1 0
33.9	36	2 1 -1
30.4	34	1 2 1
31.5	31	0 4 1
45.1	27	0 6 1
44.9	26	2 1 1
33.4	23	1 4 -1



Question: Which formula does entry 1 have?
Answer: Li9Mn2Co5O16